For LaNbCo2Sb2, a structure optimized by DFT (GGA-PBE) gives the calculated XRD peak list in this record (a wavelength of 1.5418 Å).
Peak positions follow from Bragg's law for the DFT cell and can differ from measured ones.

Largest 8 diffraction maxima, low angle first, 15 to 90 degrees two-theta:
2theta  I (rel.)
28.34  259
28.52  498
39.82  210
40.64  1000
41.70  258
49.60  109
59.02  129
75.40  157

Structural model:
```
data_LaNbCo2Sb2
_chemical_formula_sum 'La2 Nb2 Co4 Sb4'
_cell_length_a 4.332
_cell_length_b 9.055
_cell_length_c 6.298
_cell_angle_alpha 90.00
_cell_angle_beta 90.00
_cell_angle_gamma 90.00
_symmetry_space_group_name_H-M 'P m n 21'
_symmetry_Int_Tables_number 31
loop_
_symmetry_equiv_pos_as_xyz
'x,y,z'
'-x+1/2,-y,z+1/2'
'-x,y,z'
'x+1/2,-y,z+1/2'
loop_
_atom_site_label
_atom_site_type_symbol
_atom_site_fract_x
_atom_site_fract_y
_atom_site_fract_z
_atom_site_occupancy
La1 La 0.000 0.117 0.000 1
Nb1 Nb 0.000 0.614 0.006 1
Co1 Co 0.000 0.394 0.265 1
Co2 Co 0.000 0.827 0.221 1
Sb1 Sb 0.000 0.156 0.499 1
Sb2 Sb 0.000 0.615 0.512 1
```

For LaNd2Co2Sn7, a structure optimized by DFT (GGA-PBE) gives the calculated XRD peak list in this record (a wavelength of 1.5418 Å).
Peak positions follow from Bragg's law for the DFT cell and can differ from measured ones.

Largest 8 diffraction maxima, low angle first, 15 to 90 degrees two-theta:
2theta  I (rel.)
31.85  1000
32.32  231
39.05  253
39.12  231
51.58  214
56.46  191
63.86  95
66.31  255

Structural model:
```
data_LaNd2Co2Sn7
_chemical_formula_sum 'La2 Nd4 Co4 Sn14'
_cell_length_a 4.613
_cell_length_b 27.708
_cell_length_c 4.606
_cell_angle_alpha 90.00
_cell_angle_beta 90.00
_cell_angle_gamma 90.00
_symmetry_space_group_name_H-M 'C m m m'
_symmetry_Int_Tables_number 65
_symmetry_space_group_name_Hall '-C 2 2'
loop_
_atom_site_label
_atom_site_type_symbol
_atom_site_fract_x
_atom_site_fract_y
_atom_site_fract_z
_atom_site_occupancy
La1 La 0.000 0.000 0.000 1
Nd1 Nd 0.000 0.315 0.500 1
Co1 Co 0.000 0.128 0.000 1
Sn1 Sn 0.000 0.091 0.500 1
Sn2 Sn 0.000 0.218 0.000 1
Sn3 Sn 0.000 0.409 0.000 1
Sn4 Sn 0.000 0.500 0.500 1
```

For LaNdTlCo2, a structure optimized by DFT (GGA-PBE) gives the calculated XRD peak list in this record (a wavelength of 1.5418 Å).
Peak positions follow from Bragg's law for the DFT cell and can differ from measured ones.

Largest 8 diffraction maxima, low angle first, 15 to 90 degrees two-theta:
2theta  I (rel.)
29.21  486
32.51  1000
33.25  781
38.43  330
45.34  214
46.17  202
54.87  345
58.07  315

Structural model:
```
data_LaNdTlCo2
_chemical_formula_sum 'La2 Nd2 Tl2 Co4'
_cell_length_a 4.001
_cell_length_b 3.932
_cell_length_c 14.582
_cell_angle_alpha 90.00
_cell_angle_beta 90.00
_cell_angle_gamma 90.00
_symmetry_space_group_name_H-M 'A m m 2'
_symmetry_Int_Tables_number 38
loop_
_symmetry_equiv_pos_as_xyz
'x,y,z'
'-x,-y,z'
'-x,y,z'
'x,-y,z'
'x,y+1/2,z+1/2'
'-x,-y+1/2,z+1/2'
'-x,y+1/2,z+1/2'
'x,-y+1/2,z+1/2'
loop_
_atom_site_label
_atom_site_type_symbol
_atom_site_fract_x
_atom_site_fract_y
_atom_site_fract_z
_atom_site_occupancy
La1 La 0.000 0.000 0.000 1
Nd1 Nd 0.000 0.000 0.724 1
Tl1 Tl 0.500 0.000 0.359 1
Co1 Co 0.500 0.000 0.152 1
Co2 Co 0.500 0.000 0.571 1
```